Diffraction record for Li14Cr2N8O. The X-ray powder pattern is computed, not measured: it uses a crystal structure in Alexandria, relaxed with PBE+U and λ = 1.5418 Å (Cu Kα).

Most intense lines, 5° ≤ 2θ ≤ 70°, by intensity:
two_theta, d_spacing, intensity
20.69, 4.293, 100.0
54.70, 1.678, 33.9
37.36, 2.407, 24.6
32.68, 2.740, 22.9
49.16, 1.853, 17.1
30.77, 2.905, 14.1
17.62, 5.032, 12.2
21.61, 4.113, 10.7

Structural model:
```
data_Li14Cr2N8O
_cell_length_a 5.8108
_cell_length_b 5.8108
_cell_length_c 8.2254
_cell_angle_alpha 90.00
_cell_angle_beta 90.00
_cell_angle_gamma 120.00
_symmetry_space_group_name_H-M 'P -3'
_symmetry_Int_Tables_number 147
_symmetry_space_group_name_Hall '-P 3'
loop_
_atom_site_label
_atom_site_type_symbol
_atom_site_fract_x
_atom_site_fract_y
_atom_site_fract_z
Li1 Li 0.0000 0.0000 0.2437
Li2 Li 0.0400 0.3523 0.0863
Li3 Li 0.0719 0.6961 0.4096
Cr1 Cr 0.3333 0.6667 0.7390
N1 N 0.0612 0.6933 0.6686
N2 N 0.3333 0.6667 0.9522
O1 O 0.0000 0.0000 0.0000
```